No. 1
Diffraction record for Sr8SnPb3O16. The powder X-ray diffraction pattern is simulated, not measured: it uses a structure optimized by DFT (PBE) and Cu Kα, 1.54184 Å.
No peak broadening, texture or thermal motion is included.

Structure:
Lattice parameters (Å, degrees): 6.021 6.021 12.707 90.00 90.00 90.00
Space group P4/mmm (No. 123)
One atom of each set of equivalent atoms:
Sr 0.000 0.000 0.145 x2
Sr 0.000 0.500 0.357 x4
Sr 0.500 0.500 0.148 x2
Sn 0.500 0.500 0.500 x1
Pb 0.000 0.000 0.500 x1
Pb 0.000 0.500 0.000 x2
O 0.000 0.000 0.332 x2
O 0.000 0.500 0.171 x4
O 0.249 0.249 0.000 x4
O 0.256 0.256 0.500 x4
O 0.500 0.500 0.336 x2

Main lines, in order of rising 2θ (2θ = 10–90°):
index, Position (°2θ), I/Imax
0 0 2, 13.9, 22
1 1 1, 22.0, 11
2 0 0, 29.7, 100
1 1 5, 41.4, 14
2 2 0, 42.5, 21
3 1 3, 52.7, 25
2 0 6, 52.9, 11
3 1 5, 60.8, 9
2 2 6, 61.8, 10
4 2 0, 69.9, 13

***

No. 2
Diffraction record for YCd2AsF. The powder X-ray diffraction pattern is simulated, not measured: it uses a structure optimized by DFT (PBE) and Cu Kα, 1.54184 Å.
No peak broadening, texture or thermal motion is included.

Structure:
Lattice parameters (Å, degrees): 5.986 5.986 4.181 90.00 90.00 90.00
Space group P4/mmm (No. 123)
One atom of each set of equivalent atoms:
Y 0.000 0.000 0.000 x1
Cd 0.000 0.500 0.000 x2
As 0.500 0.500 0.500 x1
F 0.000 0.000 0.500 x1

Main lines, in order of rising 2θ (2θ = 10–90°):
index, Position (°2θ), I/Imax
0 0 1, 21.3, 33
1 0 1, 26.0, 36
2 0 0, 29.9, 100
1 1 1, 30.0, 63
2 0 1, 36.9, 32
2 1 1, 40.0, 23
2 2 0, 42.7, 37
3 1 1, 53.1, 24
2 0 2, 53.5, 37
2 2 2, 62.4, 22

***

No. 3
Diffraction record for NaCdHgS2. The powder X-ray diffraction pattern is simulated, not measured: it uses a structure optimized by DFT (PBE) and Cu Kα, 1.54184 Å.
No peak broadening, texture or thermal motion is included.

Structure:
Lattice parameters (Å, degrees): 6.774 7.063 6.725 90.00 91.81 90.00
Space group P2/c (No. 13)
One atom of each set of equivalent atoms:
Na 0.000 0.027 0.250 x2
Cd 0.500 0.000 0.250 x2
Hg 0.500 0.500 0.000 x2
S 0.275 0.180 0.993 x4

Main lines, in order of rising 2θ (2θ = 10–90°):
index, Position (°2θ), I/Imax
1 0 0, 13.1, 100
0 2 0, 25.2, 21
2 0 0, 26.3, 17
1 2 0, 28.5, 30
0 1 2, 29.4, 32
1 1 -2, 32.0, 22
1 1 2, 32.7, 21
2 2 0, 36.8, 27
2 1 -2, 39.3, 21
2 1 2, 40.5, 21

***

No. 4
Diffraction record for Y2HgRh. The powder X-ray diffraction pattern is simulated, not measured: it uses a structure optimized by DFT (PBE) and Cu Kα, 1.54184 Å.
No peak broadening, texture or thermal motion is included.

Structure:
Lattice parameters (Å, degrees): 4.603 3.796 10.911 90.00 90.00 90.00
Space group Amm2 (No. 38)
One atom of each set of equivalent atoms:
Y 0.000 0.000 0.000 x2
Y 0.500 0.000 0.287 x2
Hg 0.500 0.000 0.566 x2
Rh 0.000 0.000 0.736 x2

Main lines, in order of rising 2θ (2θ = 10–90°):
index, Position (°2θ), I/Imax
0 0 2, 16.2, 21
0 1 1, 24.8, 23
1 1 1, 31.6, 100
0 0 4, 32.8, 26
1 0 4, 38.4, 37
2 0 0, 39.1, 35
1 1 3, 39.5, 85
0 2 0, 47.9, 20
1 2 4, 63.0, 18
2 2 0, 63.5, 17

***

No. 5
Diffraction record for LiMoRu. The powder X-ray diffraction pattern is simulated, not measured: it uses a structure optimized by DFT (PBE) and Cu Kα, 1.54184 Å.
No peak broadening, texture or thermal motion is included.

Structure:
Lattice parameters (Å, degrees): 2.705 4.119 7.516 90.00 90.00 90.00
Space group Imm2 (No. 44)
One atom of each set of equivalent atoms:
Li 0.000 0.000 0.000 x2
Mo 0.000 0.000 0.333 x2
Ru 0.000 0.000 0.662 x2

Main lines, in order of rising 2θ (2θ = 10–90°):
index, Position (°2θ), I/Imax
0 0 2, 23.7, 39
0 1 1, 24.6, 82
1 0 1, 35.3, 32
1 1 0, 39.9, 100
0 1 3, 42.2, 85
0 2 0, 44.0, 38
1 1 2, 46.9, 24
1 0 3, 49.6, 52
1 2 3, 68.4, 39
2 1 3, 84.8, 22

***

No. 6
Diffraction record for Hg4PbI. The powder X-ray diffraction pattern is simulated, not measured: it uses a structure optimized by DFT (PBE) and Cu Kα, 1.54184 Å.
No peak broadening, texture or thermal motion is included.

Structure:
Lattice parameters (Å, degrees): 8.964 8.964 8.964 90.00 90.00 90.00
Space group F-43m (No. 216)
One atom of each set of equivalent atoms:
Hg 0.125 0.125 0.125 x16
Pb 0.250 0.250 0.750 x4
I 0.000 0.000 0.500 x4

Main lines, in order of rising 2θ (2θ = 10–90°):
index, Position (°2θ), I/Imax
1 1 1, 17.1, 12
2 2 0, 28.2, 20
3 1 1, 33.1, 100
2 2 2, 34.7, 47
4 2 2, 49.8, 9
5 1 1, 53.1, 36
4 4 0, 58.2, 32
5 3 3, 68.7, 13
6 2 2, 69.6, 20
7 3 1, 82.7, 23

***

No. 7
Diffraction record for Rb2Sc2MnS6. The powder X-ray diffraction pattern is simulated, not measured: it uses a structure optimized by DFT (PBE) and Cu Kα, 1.54184 Å.
No peak broadening, texture or thermal motion is included.

Structure:
Lattice parameters (Å, degrees): 6.399 10.992 8.123 90.00 106.13 90.00
Space group C2/m (No. 12)
One atom of each set of equivalent atoms:
Rb 0.000 0.171 0.000 x4
Sc 0.000 0.333 0.500 x4
Mn 0.000 0.000 0.500 x2
S 0.219 0.155 0.676 x8
S 0.249 0.000 0.326 x4

Main lines, in order of rising 2θ (2θ = 10–90°):
index, Position (°2θ), I/Imax
0 0 1, 11.3, 17
1 1 0, 16.5, 27
0 2 1, 19.8, 19
0 0 2, 22.8, 20
2 0 -2, 31.7, 50
1 3 1, 32.1, 100
1 3 -3, 41.8, 28
2 0 2, 42.2, 20
3 3 -1, 49.4, 30
4 0 0, 60.2, 20